Simulated powder diffraction line list
Compound: Li5Ga12Ir2
Radiation: copper Kα
Structure: a DFT-relaxed cell (PBE, Alexandria)
No peak broadening, texture or thermal motion is included.

Atomic structure:
a b c (Å): 7.577 6.084 7.595
angles (deg): 90.00 113.75 90.00
Fractional positions:
Li 0.000 0.000 0.000
Li 0.262 0.000 0.737
Li 0.323 0.500 0.677
Li 0.677 0.500 0.323
Li 0.738 0.000 0.263
Ga 0.082 0.216 0.378
Ga 0.082 0.784 0.378
Ga 0.106 0.500 0.894
Ga 0.379 0.216 0.082
Ga 0.379 0.784 0.082
Ga 0.500 0.206 0.500
Ga 0.500 0.794 0.500
Ga 0.621 0.216 0.918
Ga 0.621 0.784 0.918
Ga 0.894 0.500 0.106
Ga 0.918 0.216 0.622
Ga 0.918 0.784 0.622
Ir 0.277 0.500 0.277
Ir 0.723 0.500 0.723

Largest 6 diffraction maxima, sorted by position, 2θ from 5° to 70°:
Position (°2θ), I_rel
13.94, 68.9
20.21, 69.5
21.44, 67.3
38.65, 67.6
39.38, 56.8
46.80, 100.0

Simulated powder diffraction line list
Compound: Mg12Tl2Pb5
Radiation: copper Kα
Structure: a DFT-relaxed cell (PBE, Alexandria)
No peak broadening, texture or thermal motion is included.

Atomic structure:
a b c (Å): 8.595 8.595 7.398
angles (deg): 90.07 90.07 63.18
Fractional positions:
Mg 0.054 0.054 0.313
Mg 0.087 0.680 0.354
Mg 0.156 0.535 0.756
Mg 0.320 0.913 0.646
Mg 0.407 0.407 0.110
Mg 0.465 0.844 0.244
Mg 0.535 0.156 0.756
Mg 0.593 0.593 0.890
Mg 0.680 0.087 0.354
Mg 0.844 0.465 0.244
Mg 0.913 0.320 0.646
Mg 0.946 0.946 0.687
Tl 0.207 0.793 0.000
Tl 0.793 0.207 0.000
Pb 0.201 0.201 0.960
Pb 0.258 0.258 0.422
Pb 0.500 0.500 0.500
Pb 0.742 0.742 0.578
Pb 0.799 0.799 0.040

Largest 6 diffraction maxima, sorted by position, 2θ from 5° to 70°:
Position (°2θ), I_rel
16.65, 76.7
23.18, 100.0
24.05, 60.1
33.65, 52.7
33.81, 72.2
34.41, 99.9